Sr5V3O12F: theoretical powder diffraction line list (Cu Kα, 1.54184 Å), based on a DFT-relaxed cell (PBE+U, Alexandria).

```
Sr5V3O12F
1.0
10.1754 0.0000 0.0000
-5.0877 8.8121 0.0000
0.0000 0.0000 7.4905
Sr V O F
10 6 24 2
direct
0.0059 0.7587 0.2500
0.2413 0.2472 0.2500
0.2472 0.0059 0.7500
0.3333 0.6667 0.0011
0.3333 0.6667 0.4989
0.6667 0.3333 0.5011
0.6667 0.3333 0.9989
0.7528 0.9941 0.2500
0.7587 0.7528 0.7500
0.9941 0.2413 0.7500
0.0300 0.6315 0.7500
0.3685 0.3984 0.7500
0.3984 0.0300 0.2500
0.6016 0.9700 0.7500
0.6315 0.6016 0.2500
0.9700 0.3685 0.2500
0.0908 0.7508 0.5660
0.0908 0.7508 0.9340
0.1271 0.5298 0.7500
0.1670 0.4844 0.2500
0.2492 0.3399 0.5660
0.2492 0.3399 0.9340
0.3173 0.8330 0.2500
0.3399 0.0908 0.0660
0.3399 0.0908 0.4340
0.4027 0.8729 0.7500
0.4702 0.5973 0.7500
0.4844 0.3173 0.7500
0.5157 0.6827 0.2500
0.5298 0.4027 0.2500
0.5973 0.1271 0.2500
0.6601 0.9092 0.5660
0.6601 0.9092 0.9340
0.6827 0.1670 0.7500
0.7508 0.6601 0.0660
0.7508 0.6601 0.4340
0.8330 0.5157 0.7500
0.8729 0.4702 0.2500
0.9092 0.2492 0.0660
0.9092 0.2492 0.4340
0.0000 0.0000 0.2500
0.0000 0.0000 0.7500
```

Principal peaks in the range 10° ≤ 2θ ≤ 90°, in order of rising 2θ:
hkl	2theta	I_rel
0 0 2	23.8	22
1 0 2	25.8	22
1 2 0	26.8	25
1 2 1	29.3	100
1 1 2	29.6	61
3 0 0	30.4	50
2 2 2	43.0	34
1 2 3	45.4	35
3 2 1	46.5	20
4 0 2	47.9	22